Structure and computed X-ray diffraction stick pattern of GeIr9 (a crystal structure in OQMD, relaxed with GGA-PBE; CuKα).
Lines closer than 0.1° are merged.

Top 10 peaks for 2θ = 5–70°, most intense first:
index  two_theta  intensity
1 0 13  40.0  100
1 1 0  46.7  47
1 0 14  41.1  43
1 1 27  69.2  17
2 0 0  68.2  15
1 1 26  67.7  14
0 0 27  47.9  13
0 0 26  46.0  11
0 0 3  5.2  9
0 0 5  8.6  7

Cell and atoms:
Cell lengths 2.7495, 2.7495, 51.2564 Å; angles 90.00, 90.00, 90.00 degrees
Space group P4/nmm (No. 129, origin choice 2)
Asymmetric unit:
Ge 0.2500 0.2500 0.1432 (multiplicity 2)
Ir 0.2500 0.2500 0.2179 (multiplicity 2)
Ir 0.2500 0.2500 0.2930 (multiplicity 2)
Ir 0.2500 0.2500 0.3684 (multiplicity 2)
Ir 0.2500 0.2500 0.4436 (multiplicity 2)
Ir 0.2500 0.2500 0.5188 (multiplicity 2)
Ir 0.2500 0.2500 0.5940 (multiplicity 2)
Ir 0.2500 0.2500 0.6692 (multiplicity 2)
Ir 0.2500 0.2500 0.7448 (multiplicity 2)
Ir 0.2500 0.2500 0.8201 (multiplicity 2)


Structure and computed X-ray diffraction stick pattern of Hf27P16 (a crystal structure in OQMD, relaxed with GGA-PBE; CuKα).
Lines closer than 0.1° are merged.

Top 10 peaks for 2θ = 5–70°, most intense first:
index  two_theta  intensity
1 2 7  38.6  100
1 4 5  37.4  81
1 5 2  35.9  69
0 7 5  39.0  50
1 0 5  31.9  40
2 0 0  51.8  33
0 3 9  37.9  32
0 6 2  29.8  32
1 4 1  32.1  32
2 7 5  66.7  21

Cell and atoms:
Cell lengths 3.5296, 18.6318, 23.1085 Å; angles 90.00, 90.00, 90.00 degrees
Space group Immm (No. 71)
Asymmetric unit:
Hf 0.0000 0.0000 0.0000 (multiplicity 2)
Hf 0.0000 0.1315 0.3914 (multiplicity 8)
Hf 0.0000 0.1331 0.1827 (multiplicity 8)
Hf 0.0000 0.2455 0.0712 (multiplicity 8)
Hf 0.0000 0.3137 0.2154 (multiplicity 8)
Hf 0.0000 0.4068 0.4196 (multiplicity 8)
Hf 0.0000 0.4162 0.0000 (multiplicity 4)
Hf 0.0000 0.5000 0.1470 (multiplicity 4)
Hf 0.0000 0.5000 0.2844 (multiplicity 4)
P 0.0000 0.0000 0.1250 (multiplicity 4)
P 0.0000 0.0000 0.4397 (multiplicity 4)
P 0.0000 0.0759 0.2855 (multiplicity 8)
P 0.0000 0.1385 0.0000 (multiplicity 4)
P 0.0000 0.1915 0.5000 (multiplicity 4)
P 0.0000 0.2687 0.3433 (multiplicity 8)